(1)
For Nb2SnGeIr2, a structure optimized by DFT (GGA-PBE) gives the simulated powder XRD pattern in this record (Cu Ka).

Largest 10 diffraction maxima, in order of falling intensity, 15° ≤ 2θ ≤ 90°:
| d_spacing | intensity |
| --- | --- |
| 2.169 | 1000 |
| 3.542 | 611 |
| 1.850 | 300 |
| 1.252 | 198 |
| 1.534 | 166 |
| 1.253 | 139 |
| 1.408 | 101 |
| 1.180 | 58 |
| 1.181 | 34 |
| 1.407 | 21 |

Crystal structure
a b c (Å): 10.6236 4.3349 10.6376
angles (deg): 90.00 109.47 90.00
Space group Pm (No. 6)
Unique sites:
Nb (0.0000, 0.0000, 0.0000) (multiplicity 1)
Nb (0.1205, 0.5000, 0.3746) (multiplicity 1)
Nb (0.2436, 0.0000, 0.7455) (multiplicity 1)
Nb (0.3754, 0.5000, 0.1321) (multiplicity 1)
Nb (0.5001, 0.0000, 0.4994) (multiplicity 1)
Nb (0.6256, 0.5000, 0.8701) (multiplicity 1)
Nb (0.7483, 0.0000, 0.2556) (multiplicity 1)
Nb (0.8701, 0.5000, 0.6220) (multiplicity 1)
Sn (0.1219, 0.5000, 0.8750) (multiplicity 1)
Sn (0.3726, 0.5000, 0.6225) (multiplicity 1)
Sn (0.4995, 0.0000, 0.0018) (multiplicity 1)
Sn (0.8729, 0.5000, 0.1258) (multiplicity 1)
Ge (0.2485, 0.0000, 0.2516) (multiplicity 1)
Ge (0.6231, 0.5000, 0.3759) (multiplicity 1)
Ge (0.7483, 0.0000, 0.7473) (multiplicity 1)
Ge (0.9961, 0.0000, 0.4991) (multiplicity 1)
Ir (0.1294, 0.5000, 0.1310) (multiplicity 1)
Ir (0.2409, 0.0000, 0.4935) (multiplicity 1)
Ir (0.3722, 0.5000, 0.8738) (multiplicity 1)
Ir (0.5000, 0.0000, 0.2577) (multiplicity 1)
Ir (0.6270, 0.5000, 0.6229) (multiplicity 1)
Ir (0.7498, 0.0000, 0.9926) (multiplicity 1)
Ir (0.8706, 0.5000, 0.3789) (multiplicity 1)
Ir (0.9919, 0.0000, 0.7437) (multiplicity 1)

=====

(2)
For Zn2TcGeAs4, a structure optimized by DFT (GGA-PBE) gives the simulated powder XRD pattern in this record (Cu Ka).

Largest 10 diffraction maxima, in order of falling intensity, 15° ≤ 2θ ≤ 90°:
| d_spacing | intensity |
| --- | --- |
| 3.294 | 1000 |
| 2.011 | 487 |
| 1.727 | 296 |
| 2.029 | 250 |
| 1.168 | 156 |
| 1.706 | 146 |
| 1.306 | 115 |
| 1.434 | 78 |
| 1.158 | 76 |
| 1.104 | 66 |

Crystal structure
a b c (Å): 5.7378 5.7378 11.2830
angles (deg): 90.00 90.00 90.00
Space group I-4 (No. 82)
Unique sites:
Zn (0.0000, 0.0000, 0.0000) (multiplicity 2)
Zn (0.0000, 0.5000, 0.2500) (multiplicity 2)
Tc (0.0000, 0.5000, 0.7500) (multiplicity 2)
Ge (0.0000, 0.0000, 0.5000) (multiplicity 2)
As (0.2404, 0.7411, 0.8711) (multiplicity 8)

=====

(3)
For Sr3Cd, a structure optimized by DFT (GGA-PBE) gives the simulated powder XRD pattern in this record (Cu Ka).

Largest 10 diffraction maxima, in order of falling intensity, 15° ≤ 2θ ≤ 90°:
| d_spacing | intensity |
| --- | --- |
| 3.269 | 1000 |
| 3.130 | 992 |
| 3.356 | 614 |
| 2.772 | 592 |
| 3.027 | 504 |
| 2.213 | 503 |
| 1.825 | 302 |
| 1.834 | 302 |
| 1.400 | 248 |
| 1.787 | 220 |

Crystal structure
a b c (Å): 4.4280 14.5004 11.0026
angles (deg): 90.00 90.00 90.00
Space group Cmcm (No. 63)
Unique sites:
Sr (0.0000, 0.0616, 0.2500) (multiplicity 4)
Sr (0.0000, 0.3582, 0.0582) (multiplicity 8)
Cd (0.0000, 0.2546, 0.7500) (multiplicity 4)

=====

(4)
For DyTm2NiGe3Ir2, a structure optimized by DFT (GGA-PBE) gives the simulated powder XRD pattern in this record (Cu Ka).

Largest 10 diffraction maxima, in order of falling intensity, 15° ≤ 2θ ≤ 90°:
| d_spacing | intensity |
| --- | --- |
| 2.595 | 1000 |
| 2.383 | 636 |
| 2.587 | 508 |
| 2.029 | 337 |
| 1.915 | 307 |
| 2.309 | 299 |
| 2.391 | 287 |
| 1.393 | 204 |
| 1.977 | 194 |
| 2.040 | 171 |

Crystal structure
a b c (Å): 3.8310 12.2383 7.0155
angles (deg): 90.00 90.00 90.00
Space group Amm2 (No. 38)
Unique sites:
Dy (0.0000, 0.0000, 0.0000) (multiplicity 2)
Tm (0.0000, 0.1996, 0.6001) (multiplicity 4)
Ni (0.0000, 0.0000, 0.4033) (multiplicity 2)
Ge (0.5000, 0.0000, 0.6515) (multiplicity 2)
Ge (0.5000, 0.1257, 0.2758) (multiplicity 4)
Ir (0.5000, 0.1687, 0.9001) (multiplicity 4)

=====

(5)
For SmCdAsO, a structure optimized by DFT (GGA-PBE) gives the simulated powder XRD pattern in this record (Cu Ka).

Largest 10 diffraction maxima, in order of falling intensity, 15° ≤ 2θ ≤ 90°:
| d_spacing | intensity |
| --- | --- |
| 3.178 | 1000 |
| 3.146 | 843 |
| 3.097 | 843 |
| 2.566 | 801 |
| 1.988 | 704 |
| 2.290 | 651 |
| 2.207 | 509 |
| 2.593 | 497 |
| 1.841 | 367 |
| 1.851 | 359 |

Crystal structure
a b c (Å): 4.5801 6.2921 6.1949
angles (deg): 90.00 90.00 90.00
Space group Pmc2_1 (No. 26)
Unique sites:
Sm (0.0000, 0.2396, 0.0000) (multiplicity 2)
Cd (0.5000, 0.3580, 0.6190) (multiplicity 2)
As (0.0000, 0.2301, 0.4807) (multiplicity 2)
O (0.5000, 0.2971, 0.9875) (multiplicity 2)

=====

(6)
For Sr2Cu2SeSF2, a structure optimized by DFT (GGA-PBE) gives the simulated powder XRD pattern in this record (Cu Ka).

Largest 10 diffraction maxima, in order of falling intensity, 15° ≤ 2θ ≤ 90°:
| d_spacing | intensity |
| --- | --- |
| 2.934 | 1000 |
| 2.361 | 914 |
| 1.989 | 544 |
| 1.646 | 344 |
| 1.719 | 295 |
| 1.906 | 280 |
| 2.676 | 238 |
| 1.376 | 190 |
| 1.208 | 187 |
| 1.171 | 167 |

Crystal structure
a b c (Å): 3.9780 3.9780 8.6873
angles (deg): 90.00 90.00 90.00
Space group P4mm (No. 99)
Unique sites:
Sr (0.0000, 0.0000, 0.0000) (multiplicity 1)
Sr (0.5000, 0.5000, 0.3348) (multiplicity 1)
Cu (0.0000, 0.5000, 0.6829) (multiplicity 2)
Se (0.0000, 0.0000, 0.5029) (multiplicity 1)
S (0.5000, 0.5000, 0.8359) (multiplicity 1)
F (0.0000, 0.5000, 0.1663) (multiplicity 2)

=====

(7)
For Pr3IO4, a structure optimized by DFT (GGA-PBE) gives the simulated powder XRD pattern in this record (Cu Ka).

Largest 10 diffraction maxima, in order of falling intensity, 15° ≤ 2θ ≤ 90°:
| d_spacing | intensity |
| --- | --- |
| 3.103 | 1000 |
| 1.706 | 347 |
| 2.888 | 318 |
| 1.840 | 254 |
| 2.042 | 190 |
| 1.102 | 124 |
| 1.552 | 106 |
| 1.136 | 103 |
| 1.483 | 103 |
| 1.200 | 102 |

Crystal structure
a b c (Å): 4.0836 4.0836 9.5477
angles (deg): 90.00 90.00 90.00
Space group P4/mmm (No. 123)
Unique sites:
Pr (0.0000, 0.0000, 0.0000) (multiplicity 1)
Pr (0.5000, 0.5000, 0.2595) (multiplicity 2)
I (0.0000, 0.0000, 0.5000) (multiplicity 1)
O (0.0000, 0.5000, 0.1524) (multiplicity 4)

=====

(8)
For Bi5Pt19, a structure optimized by DFT (GGA-PBE) gives the simulated powder XRD pattern in this record (Cu Ka).

Largest 10 diffraction maxima, in order of falling intensity, 15° ≤ 2θ ≤ 90°:
| d_spacing | intensity |
| --- | --- |
| 2.317 | 1000 |
| 2.336 | 357 |
| 2.130 | 325 |
| 2.255 | 270 |
| 1.351 | 264 |
| 2.701 | 258 |
| 1.474 | 247 |
| 3.044 | 230 |
| 1.159 | 201 |
| 2.077 | 159 |

Crystal structure
a b c (Å): 5.4021 5.4021 36.0847
angles (deg): 90.00 90.00 120.00
Space group P6_3/mmc (No. 194)
Unique sites:
Bi (0.3333, 0.6667, 0.0259) (multiplicity 4)
Bi (0.3333, 0.6667, 0.1366) (multiplicity 4)
Bi (0.3333, 0.6667, 0.2500) (multiplicity 2)
Pt (0.0000, 0.0000, 0.0000) (multiplicity 2)
Pt (0.0000, 0.0000, 0.1250) (multiplicity 4)
Pt (0.0000, 0.0000, 0.2500) (multiplicity 2)
Pt (0.1668, 0.3336, 0.6877) (multiplicity 12)
Pt (0.1678, 0.3357, 0.5617) (multiplicity 12)
Pt (0.3333, 0.6667, 0.6245) (multiplicity 4)
Pt (0.3333, 0.6667, 0.7500) (multiplicity 2)

=====

(9)
For Pr2Dy2CIBr2Cl2, a structure optimized by DFT (GGA-PBE) gives the simulated powder XRD pattern in this record (Cu Ka).

Largest 10 diffraction maxima, in order of falling intensity, 15° ≤ 2θ ≤ 90°:
| d_spacing | intensity |
| --- | --- |
| 2.954 | 1000 |
| 2.915 | 380 |
| 2.629 | 259 |
| 2.059 | 234 |
| 2.374 | 225 |
| 2.092 | 222 |
| 2.936 | 213 |
| 1.968 | 181 |
| 1.506 | 172 |
| 2.590 | 162 |

Crystal structure
a b c (Å): 17.9519 3.9354 8.9468
angles (deg): 90.00 103.04 90.00
Space group C2/m (No. 12)
Unique sites:
Pr (0.0000, 0.0000, 0.1964) (multiplicity 4)
Dy (0.1375, 0.5000, 0.0674) (multiplicity 4)
C (0.0000, 0.5000, 0.0000) (multiplicity 2)
I (0.0000, 0.5000, 0.5000) (multiplicity 2)
Br (0.1745, 0.0000, 0.8562) (multiplicity 4)
Cl (0.1649, 0.0000, 0.2830) (multiplicity 4)

=====

(10)
For GdDyGa6, a structure optimized by DFT (GGA-PBE) gives the simulated powder XRD pattern in this record (Cu Ka).

Largest 10 diffraction maxima, in order of falling intensity, 15° ≤ 2θ ≤ 90°:
| d_spacing | intensity |
| --- | --- |
| 2.339 | 1000 |
| 2.722 | 253 |
| 3.502 | 230 |
| 2.287 | 221 |
| 1.295 | 173 |
| 1.572 | 167 |
| 1.330 | 161 |
| 1.751 | 135 |
| 1.304 | 122 |
| 3.143 | 95 |

Crystal structure
a b c (Å): 6.2861 6.2861 4.5737
angles (deg): 90.00 90.00 120.00
Space group P-6m2 (No. 187)
Unique sites:
Gd (0.0000, 0.0000, 0.0000) (multiplicity 1)
Dy (0.6667, 0.3333, 0.5000) (multiplicity 1)
Ga (0.0366, 0.5183, 0.0000) (multiplicity 3)
Ga (0.1853, 0.3705, 0.5000) (multiplicity 3)